KRbLa2Ru: computed XRD peak list (Cu Kα X-rays), based on a crystal structure in Alexandria, relaxed with PBE.
Neutral-atom scattering factors, no anomalous dispersion.

The 8 most intense peaks (10 to 90 degrees two-theta), by angle:
| index | 2θ (°) | d_spacing | I (rel.) |
| --- | --- | --- | --- |
| 0 0 1 | 12.2 | 7.273 | 100 |
| 1 0 1 | 20.4 | 4.359 | 46 |
| 0 0 2 | 24.5 | 3.636 | 84 |
| 1 1 1 | 26.2 | 3.403 | 99 |
| 2 0 0 | 32.9 | 2.723 | 78 |
| 2 0 1 | 35.2 | 2.550 | 32 |
| 2 0 2 | 41.4 | 2.179 | 82 |
| 2 2 2 | 53.9 | 1.701 | 37 |

Structural model:
Unit cell a=5.4452 b=5.4452 c=7.2729 alpha=90.00 beta=90.00 gamma=90.00
Fractional coordinates of all 5 atoms:
K 0.0000 0.0000 0.0000
Rb 0.5000 0.5000 0.0000
La 0.0000 0.5000 0.5000
La 0.5000 0.0000 0.5000
Ru 0.0000 0.0000 0.5000